Record 1
This entry pairs a crystal structure of Tl2GeBiS4 with its simulated powder diffractogram. Radiation: Cu Kα X-rays. Structure: DFT lattice parameters and positions (GGA-PBE).
Kinematic intensities with the Lorentz-polarization factor, no thermal factor.

The 10 most intense peaks (15° ≤ 2θ ≤ 90°), sorted by position:
2θ 22.1, intensity 81.2; 2θ 24.2, intensity 100.0; 2θ 26.7, intensity 91.1; 2θ 29.8, intensity 54.5; 2θ 35.2, intensity 57.6; 2θ 37.5, intensity 36.7; 2θ 46.8, intensity 45.7; 2θ 47.8, intensity 34.4; 2θ 51.2, intensity 25.0; 2θ 55.5, intensity 30.6

Crystal structure
Lattice parameters (Å, degrees): 8.889 9.347 5.992 90.00 90.00 90.00
Sites, in units of the cell vectors:
1 Tl 0.248 0.148 0.000
2 Tl 0.252 0.852 0.500
3 Tl 0.748 0.852 0.500
4 Tl 0.752 0.148 0.000
5 Ge 0.000 0.371 0.418
6 Ge 0.500 0.629 0.918
7 Bi 0.000 0.656 0.968
8 Bi 0.500 0.344 0.468
9 S 0.000 0.366 0.033
10 S 0.000 0.614 0.511
11 S 0.208 0.243 0.514
12 S 0.292 0.757 0.014
13 S 0.500 0.386 0.011
14 S 0.500 0.634 0.533
15 S 0.708 0.757 0.014
16 S 0.792 0.243 0.514

***

Record 2
This entry pairs a crystal structure of AlZn with its simulated powder diffractogram. Radiation: Cu Kα X-rays. Structure: DFT lattice parameters and positions (GGA-PBE).
Kinematic intensities with the Lorentz-polarization factor, no thermal factor.

The 10 most intense peaks (15° ≤ 2θ ≤ 90°), sorted by position:
2θ 18.3, intensity 36.1; 2θ 23.2, intensity 23.8; 2θ 37.8, intensity 59.2; 2θ 38.0, intensity 58.0; 2θ 40.1, intensity 100.0; 2θ 45.3, intensity 69.7; 2θ 45.6, intensity 34.2; 2θ 66.0, intensity 21.4; 2θ 66.4, intensity 21.0; 2θ 81.4, intensity 17.2

Crystal structure
Lattice parameters (Å, degrees): 9.694 2.724 4.972 90.00 102.57 90.00
Sites, in units of the cell vectors:
1 Al 0.123 0.000 0.371
2 Al 0.377 0.500 0.629
3 Al 0.623 0.500 0.371
4 Al 0.877 0.000 0.629
5 Zn 0.128 0.500 0.874
6 Zn 0.372 0.000 0.126
7 Zn 0.628 0.000 0.874
8 Zn 0.872 0.500 0.126

***

Record 3
This entry pairs a crystal structure of Pr2Zn3Ru2 with its simulated powder diffractogram. Radiation: Cu Kα X-rays. Structure: DFT lattice parameters and positions (GGA-PBE).
Kinematic intensities with the Lorentz-polarization factor, no thermal factor.

The 10 most intense peaks (15° ≤ 2θ ≤ 90°), sorted by position:
2θ 26.1, intensity 25.5; 2θ 26.6, intensity 21.3; 2θ 32.6, intensity 100.0; 2θ 35.1, intensity 96.5; 2θ 35.9, intensity 24.0; 2θ 41.9, intensity 46.3; 2θ 42.2, intensity 50.2; 2θ 43.8, intensity 37.3; 2θ 62.2, intensity 25.6; 2θ 64.8, intensity 19.3

Crystal structure
Lattice parameters (Å, degrees): 10.687 4.309 6.700 90.00 91.15 90.00
Sites, in units of the cell vectors:
1 Pr 0.149 0.000 0.184
2 Pr 0.351 0.500 0.816
3 Pr 0.649 0.500 0.184
4 Pr 0.851 0.000 0.816
5 Zn 0.000 0.500 0.500
6 Zn 0.132 0.000 0.689
7 Zn 0.368 0.500 0.311
8 Zn 0.500 0.000 0.500
9 Zn 0.632 0.500 0.689
10 Zn 0.868 0.000 0.311
11 Ru 0.067 0.500 0.861
12 Ru 0.433 0.000 0.139
13 Ru 0.567 0.000 0.861
14 Ru 0.933 0.500 0.139

***

Record 4
This entry pairs a crystal structure of DyPd2Pt2 with its simulated powder diffractogram. Radiation: Cu Kα X-rays. Structure: DFT lattice parameters and positions (GGA-PBE).
Kinematic intensities with the Lorentz-polarization factor, no thermal factor.

The 10 most intense peaks (15° ≤ 2θ ≤ 90°), sorted by position:
2θ 21.8, intensity 15.4; 2θ 23.3, intensity 34.7; 2θ 33.3, intensity 12.5; 2θ 33.4, intensity 47.7; 2θ 38.2, intensity 100.0; 2θ 51.6, intensity 87.9; 2θ 69.0, intensity 17.6; 2θ 78.9, intensity 24.3; 2θ 81.7, intensity 11.2; 2θ 82.9, intensity 21.6

Crystal structure
Lattice parameters (Å, degrees): 4.716 4.716 10.721 90.00 90.00 120.00
Sites, in units of the cell vectors:
1 Dy 0.000 0.000 0.250
2 Dy 0.000 0.000 0.750
3 Pd 0.333 0.667 0.002
4 Pd 0.333 0.667 0.498
5 Pd 0.667 0.333 0.502
6 Pd 0.667 0.333 0.998
7 Pt 0.000 0.000 0.000
8 Pt 0.000 0.000 0.500
9 Pt 0.333 0.667 0.250
10 Pt 0.667 0.333 0.750

***

Record 5
This entry pairs a crystal structure of K2AgSnBr6 with its simulated powder diffractogram. Radiation: Cu Kα X-rays. Structure: DFT lattice parameters and positions (GGA-PBE).
Kinematic intensities with the Lorentz-polarization factor, no thermal factor.

The 10 most intense peaks (15° ≤ 2θ ≤ 90°), sorted by position:
2θ 15.8, intensity 45.9; 2θ 15.9, intensity 86.3; 2θ 22.5, intensity 20.5; 2θ 27.6, intensity 25.3; 2θ 27.7, intensity 26.7; 2θ 31.8, intensity 50.5; 2θ 32.1, intensity 100.0; 2θ 35.8, intensity 27.3; 2θ 36.0, intensity 37.1; 2θ 45.9, intensity 84.8

Crystal structure
Lattice parameters (Å, degrees): 7.849 11.246 7.908 90.00 90.00 90.00
Sites, in units of the cell vectors:
1 K 0.250 0.030 0.218
2 K 0.250 0.470 0.218
3 K 0.750 0.530 0.782
4 K 0.750 0.970 0.782
5 Ag 0.250 0.250 0.739
6 Ag 0.750 0.750 0.261
7 Sn 0.250 0.750 0.756
8 Sn 0.750 0.250 0.244
9 Br 0.000 0.250 0.990
10 Br 0.000 0.750 0.010
11 Br 0.010 0.250 0.483
12 Br 0.250 0.501 0.762
13 Br 0.250 0.999 0.762
14 Br 0.490 0.250 0.483
15 Br 0.500 0.250 0.990
16 Br 0.500 0.750 0.010
17 Br 0.510 0.750 0.517
18 Br 0.750 0.001 0.238
19 Br 0.750 0.499 0.238
20 Br 0.990 0.750 0.517

***

Record 6
This entry pairs a crystal structure of Y3Ho5Sb8 with its simulated powder diffractogram. Radiation: Cu Kα X-rays. Structure: DFT lattice parameters and positions (GGA-PBE).
Kinematic intensities with the Lorentz-polarization factor, no thermal factor.

The 10 most intense peaks (15° ≤ 2θ ≤ 90°), sorted by position:
2θ 23.8, intensity 2.2; 2θ 28.8, intensity 100.0; 2θ 37.7, intensity 1.0; 2θ 41.2, intensity 75.7; 2θ 43.2, intensity 1.1; 2θ 51.1, intensity 26.9; 2θ 59.7, intensity 12.6; 2θ 67.7, intensity 34.4; 2θ 75.2, intensity 25.4; 2θ 89.5, intensity 8.5

Crystal structure
Lattice parameters (Å, degrees): 8.756 8.756 8.756 60.00 60.00 60.00
Sites, in units of the cell vectors:
1 Y 0.000 0.500 0.500
2 Y 0.500 0.000 0.500
3 Y 0.500 0.500 0.000
4 Ho 0.000 0.000 0.000
5 Ho 0.000 0.000 0.500
6 Ho 0.000 0.500 0.000
7 Ho 0.500 0.000 0.000
8 Ho 0.500 0.500 0.500
9 Sb 0.249 0.249 0.249
10 Sb 0.249 0.750 0.750
11 Sb 0.250 0.250 0.751
12 Sb 0.250 0.751 0.250
13 Sb 0.750 0.249 0.750
14 Sb 0.750 0.750 0.249
15 Sb 0.751 0.250 0.250
16 Sb 0.751 0.751 0.751

***

Copy entry 5 word for word.
This entry pairs a crystal structure of K2AgSnBr6 with its simulated powder diffractogram. Radiation: Cu Kα X-rays. Structure: DFT lattice parameters and positions (GGA-PBE).
Kinematic intensities with the Lorentz-polarization factor, no thermal factor.

The 10 most intense peaks (15° ≤ 2θ ≤ 90°), sorted by position:
2θ 15.8, intensity 45.9; 2θ 15.9, intensity 86.3; 2θ 22.5, intensity 20.5; 2θ 27.6, intensity 25.3; 2θ 27.7, intensity 26.7; 2θ 31.8, intensity 50.5; 2θ 32.1, intensity 100.0; 2θ 35.8, intensity 27.3; 2θ 36.0, intensity 37.1; 2θ 45.9, intensity 84.8

Crystal structure
Lattice parameters (Å, degrees): 7.849 11.246 7.908 90.00 90.00 90.00
Sites, in units of the cell vectors:
1 K 0.250 0.030 0.218
2 K 0.250 0.470 0.218
3 K 0.750 0.530 0.782
4 K 0.750 0.970 0.782
5 Ag 0.250 0.250 0.739
6 Ag 0.750 0.750 0.261
7 Sn 0.250 0.750 0.756
8 Sn 0.750 0.250 0.244
9 Br 0.000 0.250 0.990
10 Br 0.000 0.750 0.010
11 Br 0.010 0.250 0.483
12 Br 0.250 0.501 0.762
13 Br 0.250 0.999 0.762
14 Br 0.490 0.250 0.483
15 Br 0.500 0.250 0.990
16 Br 0.500 0.750 0.010
17 Br 0.510 0.750 0.517
18 Br 0.750 0.001 0.238
19 Br 0.750 0.499 0.238
20 Br 0.990 0.750 0.517